For LaEr2Ag6, a DFT-relaxed cell (GGA-PBE, Alexandria) gives the theoretical powder diffraction line list in this record (Cu Kα (λ = 1.5418 Å)).
Neutral-atom scattering factors, no anomalous dispersion.

Largest 12 diffraction maxima, in order of falling intensity, 2θ from 10° to 80°:
- 33.7 deg, d = 2.658 Å, I 100
- 37.6 deg, d = 2.394 Å, I 75
- 51.4 deg, d = 1.779 Å, I 30
- 65.4 deg, d = 1.428 Å, I 28
- 66.7 deg, d = 1.403 Å, I 27
- 67.8 deg, d = 1.382 Å, I 13
- 52.9 deg, d = 1.731 Å, I 9
- 21.4 deg, d = 4.147 Å, I 4
- 46.1 deg, d = 1.969 Å, I 2
- 25.7 deg, d = 3.462 Å, I 2
- 12.3 deg, d = 7.183 Å, I 1
- 43.7 deg, d = 2.073 Å, I 1

Cell and atoms:
```
LaEr2Ag6
1.0
8.294 0.000 0.000
-4.147 7.183 0.000
0.000 0.000 3.462
La Er Ag
1 2 6
Cartesian
0.000 0.000 0.000 La
0.000 4.788 0.000 Er
4.147 2.394 0.000 Er
-1.397 2.420 1.731 Ag
-2.750 4.763 1.731 Ag
2.794 0.000 1.731 Ag
1.397 2.420 1.731 Ag
5.500 0.000 1.731 Ag
2.750 4.763 1.731 Ag
```

***

For LiPuB4, a DFT-relaxed cell (GGA-PBE, Alexandria) gives the theoretical powder diffraction line list in this record (Cu Kα (λ = 1.5418 Å)).
Neutral-atom scattering factors, no anomalous dispersion.

Largest 12 diffraction maxima, in order of falling intensity, 2θ from 10° to 80°:
- 40.3 deg, d = 2.236 Å, I 100
- 21.7 deg, d = 4.089 Å, I 89
- 31.4 deg, d = 2.846 Å, I 79
- 33.1 deg, d = 2.708 Å, I 71
- 24.6 deg, d = 3.613 Å, I 59
- 17.0 deg, d = 5.223 Å, I 55
- 37.6 deg, d = 2.390 Å, I 52
- 28.0 deg, d = 3.188 Å, I 48
- 30.1 deg, d = 2.972 Å, I 33
- 57.2 deg, d = 1.611 Å, I 30
- 60.7 deg, d = 1.525 Å, I 26
- 50.7 deg, d = 1.800 Å, I 26

Cell and atoms:
```
LiPuB4
1.0
5.879 0.000 0.000
0.000 11.382 0.000
0.000 0.000 3.613
Li Pu B
4 4 16
Cartesian
0.757 0.967 0.000 Li
2.182 6.658 0.000 Li
3.696 4.724 0.000 Li
5.121 10.415 0.000 Li
0.742 3.980 0.000 Pu
2.197 9.671 0.000 Pu
3.681 1.711 0.000 Pu
5.136 7.403 0.000 Pu
0.153 9.179 1.807 B
0.671 10.839 1.807 B
0.789 6.052 1.807 B
1.253 7.811 1.807 B
1.687 2.119 1.807 B
2.150 0.361 1.807 B
2.268 5.147 1.807 B
2.786 3.488 1.807 B
3.092 7.894 1.807 B
3.610 6.235 1.807 B
3.728 11.021 1.807 B
4.192 9.263 1.807 B
4.626 3.572 1.807 B
5.089 5.330 1.807 B
5.208 0.544 1.807 B
5.725 2.203 1.807 B
```

***

For SbTe2Rh, a DFT-relaxed cell (GGA-PBE, Alexandria) gives the theoretical powder diffraction line list in this record (Cu Kα (λ = 1.5418 Å)).
Neutral-atom scattering factors, no anomalous dispersion.

Largest 12 diffraction maxima, in order of falling intensity, 2θ from 10° to 80°:
- 29.6 deg, d = 3.016 Å, I 100
- 44.7 deg, d = 2.026 Å, I 56
- 32.7 deg, d = 2.736 Å, I 46
- 32.9 deg, d = 2.721 Å, I 22
- 40.3 deg, d = 2.237 Å, I 21
- 57.8 deg, d = 1.595 Å, I 18
- 46.2 deg, d = 1.964 Å, I 17
- 76.5 deg, d = 1.246 Å, I 11
- 56.8 deg, d = 1.621 Å, I 10
- 18.8 deg, d = 4.731 Å, I 9
- 57.9 deg, d = 1.592 Å, I 9
- 38.3 deg, d = 2.352 Å, I 8

Cell and atoms:
```
SbTe2Rh
1.0
3.927 0.000 0.000
0.000 2.736 4.705
0.000 -2.736 4.705
Sb Te Rh
1 2 1
Cartesian
0.000 0.000 0.000 Sb
0.000 0.000 3.579 Te
1.964 0.000 6.650 Te
1.964 0.000 1.785 Rh
```

***

For Li7Ca2, a DFT-relaxed cell (GGA-PBE, Alexandria) gives the theoretical powder diffraction line list in this record (Cu Kα (λ = 1.5418 Å)).
Neutral-atom scattering factors, no anomalous dispersion.

Largest 12 diffraction maxima, in order of falling intensity, 2θ from 10° to 80°:
- 16.9 deg, d = 5.243 Å, I 100
- 35.1 deg, d = 2.560 Å, I 86
- 27.0 deg, d = 3.304 Å, I 83
- 29.3 deg, d = 3.050 Å, I 77
- 28.7 deg, d = 3.111 Å, I 48
- 18.8 deg, d = 4.711 Å, I 40
- 34.0 deg, d = 2.637 Å, I 37
- 55.7 deg, d = 1.650 Å, I 31
- 50.5 deg, d = 1.806 Å, I 27
- 60.7 deg, d = 1.526 Å, I 19
- 46.2 deg, d = 1.965 Å, I 16
- 51.6 deg, d = 1.773 Å, I 16

Cell and atoms:
```
Li7Ca2
1.0
3.050 1.761 14.113
-3.050 1.761 14.113
0.000 -3.522 14.113
Li Ca
14 4
Cartesian
0.000 0.000 0.000 Li
-3.050 0.000 21.170 Li
-1.525 0.881 7.056 Li
0.000 0.000 4.707 Li
0.000 -1.745 11.704 Li
-1.511 0.872 11.704 Li
0.000 0.000 9.393 Li
-1.511 -0.872 30.636 Li
1.525 0.881 7.057 Li
1.511 0.872 11.704 Li
0.000 0.000 32.946 Li
1.511 -0.872 30.635 Li
0.000 1.745 30.635 Li
0.000 0.000 37.632 Li
0.000 0.000 14.880 Ca
0.000 0.000 18.958 Ca
0.000 0.000 23.381 Ca
0.000 0.000 27.460 Ca
```

***

For Nd5TlTe8, a DFT-relaxed cell (GGA-PBE, Alexandria) gives the theoretical powder diffraction line list in this record (Cu Kα (λ = 1.5418 Å)).
Neutral-atom scattering factors, no anomalous dispersion.

Largest 12 diffraction maxima, in order of falling intensity, 2θ from 10° to 80°:
- 38.2 deg, d = 2.357 Å, I 100
- 22.1 deg, d = 4.020 Å, I 60
- 26.7 deg, d = 3.334 Å, I 54
- 35.0 deg, d = 2.566 Å, I 44
- 69.0 deg, d = 1.361 Å, I 30
- 18.8 deg, d = 4.714 Å, I 23
- 52.7 deg, d = 1.736 Å, I 16
- 55.1 deg, d = 1.667 Å, I 16
- 73.5 deg, d = 1.289 Å, I 16
- 62.3 deg, d = 1.491 Å, I 15
- 47.2 deg, d = 1.925 Å, I 13
- 60.1 deg, d = 1.540 Å, I 12

Cell and atoms:
```
Nd5TlTe8
1.0
0.000 6.667 6.667
6.667 0.000 6.667
6.667 6.667 0.000
Nd Tl Te
5 1 8
Cartesian
0.000 0.000 0.000 Nd
8.276 5.058 5.058 Nd
5.058 8.276 5.058 Nd
5.058 5.058 8.276 Nd
8.276 8.276 8.276 Nd
3.334 3.334 3.334 Tl
5.161 5.161 5.161 Te
8.173 8.173 5.161 Te
8.173 5.161 8.173 Te
11.560 8.442 8.442 Te
5.161 8.173 8.173 Te
8.442 11.560 8.442 Te
8.442 8.442 11.560 Te
11.560 11.560 11.560 Te
```

***

For VI, a DFT-relaxed cell (GGA-PBE, Alexandria) gives the theoretical powder diffraction line list in this record (Cu Kα (λ = 1.5418 Å)).
Neutral-atom scattering factors, no anomalous dispersion.

Largest 12 diffraction maxima, in order of falling intensity, 2θ from 10° to 80°:
- 23.1 deg, d = 3.857 Å, I 100
- 44.5 deg, d = 2.035 Å, I 83
- 10.3 deg, d = 8.625 Å, I 81
- 29.2 deg, d = 3.061 Å, I 62
- 36.0 deg, d = 2.496 Å, I 58
- 25.2 deg, d = 3.539 Å, I 32
- 43.3 deg, d = 2.092 Å, I 29
- 20.6 deg, d = 4.312 Å, I 27
- 39.0 deg, d = 2.310 Å, I 27
- 55.1 deg, d = 1.667 Å, I 18
- 67.6 deg, d = 1.385 Å, I 15
- 68.6 deg, d = 1.368 Å, I 15

Cell and atoms:
```
VI
1.0
12.197 0.000 0.000
0.000 12.197 0.000
0.000 0.000 3.698
V I
8 8
Cartesian
0.702 6.897 0.000 V
1.057 5.100 1.849 V
5.100 11.140 1.849 V
5.300 0.702 0.000 V
6.897 11.495 0.000 V
7.097 1.057 1.849 V
11.140 7.097 1.849 V
11.495 5.300 0.000 V
0.877 3.028 0.000 I
2.953 6.999 1.849 I
3.028 11.320 0.000 I
5.198 2.953 1.849 I
6.999 9.244 1.849 I
9.170 0.877 0.000 I
9.244 5.198 1.849 I
11.320 9.170 0.000 I
```

***

For Li2GeSb2Te5, a DFT-relaxed cell (GGA-PBE, Alexandria) gives the theoretical powder diffraction line list in this record (Cu Kα (λ = 1.5418 Å)).
Neutral-atom scattering factors, no anomalous dispersion.

Largest 12 diffraction maxima, in order of falling intensity, 2θ from 10° to 80°:
- 28.9 deg, d = 3.093 Å, I 100
- 41.7 deg, d = 2.168 Å, I 38
- 40.9 deg, d = 2.206 Å, I 35
- 51.5 deg, d = 1.775 Å, I 20
- 68.3 deg, d = 1.374 Å, I 17
- 25.1 deg, d = 3.551 Å, I 15
- 67.2 deg, d = 1.393 Å, I 13
- 59.8 deg, d = 1.546 Å, I 11
- 75.5 deg, d = 1.259 Å, I 11
- 26.3 deg, d = 3.383 Å, I 8
- 24.5 deg, d = 3.633 Å, I 7
- 23.9 deg, d = 3.721 Å, I 7

Cell and atoms:
```
Li2GeSb2Te5
1.0
2.168 1.252 18.170
-2.168 1.252 18.170
0.000 -2.504 18.170
Li Ge Sb Te
2 1 2 5
Cartesian
0.000 0.000 0.000 Li
0.000 0.000 20.208 Li
0.000 0.000 42.408 Ge
0.000 0.000 9.962 Sb
0.000 0.000 32.111 Sb
0.000 0.000 4.667 Te
0.000 0.000 15.655 Te
0.000 0.000 26.409 Te
0.000 0.000 37.286 Te
0.000 0.000 48.268 Te
```

***

For Co4TcPb, a DFT-relaxed cell (GGA-PBE, Alexandria) gives the theoretical powder diffraction line list in this record (Cu Kα (λ = 1.5418 Å)).
Neutral-atom scattering factors, no anomalous dispersion.

Largest 11 diffraction maxima, in order of falling intensity, 2θ from 10° to 80°:
- 43.7 deg, d = 2.071 Å, I 100
- 37.0 deg, d = 2.428 Å, I 62
- 71.4 deg, d = 1.322 Å, I 30
- 66.7 deg, d = 1.402 Å, I 22
- 78.8 deg, d = 1.214 Å, I 21
- 22.4 deg, d = 3.965 Å, I 20
- 45.8 deg, d = 1.982 Å, I 17
- 25.9 deg, d = 3.434 Å, I 9
- 58.6 deg, d = 1.575 Å, I 6
- 60.3 deg, d = 1.536 Å, I 4
- 53.4 deg, d = 1.717 Å, I 1

Cell and atoms:
```
Co4TcPb
1.0
0.000 3.434 3.434
3.434 0.000 3.434
3.434 3.434 0.000
Co Tc Pb
4 1 1
Cartesian
0.855 0.855 0.855 Co
2.579 2.579 0.855 Co
2.579 0.855 2.579 Co
0.855 2.579 2.579 Co
5.150 5.150 5.150 Tc
3.434 3.434 3.434 Pb
```